For Na3W4O12, a PBE+U-relaxed structure gives the computed powder XRD pattern in this record (a wavelength of 1.5418 Å).

Peak list (6 most intense, 2θ from 10° to 90°, most intense first)
2θ/deg	I (rel.)
32.37	1000
22.78	769
22.65	392
52.38	326
57.80	283
46.53	208

Atomic structure:
Cell lengths 6.775, 6.775, 6.775 Å; angles 109.64, 109.61, 109.16 degrees
Atoms (fractional coordinates):
1 Na 0.000 0.000 0.000
2 Na 0.500 0.000 0.500
3 Na 0.500 0.500 0.000
4 W 0.000 0.000 0.500
5 W 0.000 0.500 0.000
6 W 0.500 0.000 0.000
7 W 0.500 0.500 0.500
8 O 0.053 0.275 0.778
9 O 0.231 0.221 0.451
10 O 0.231 0.779 0.010
11 O 0.273 0.551 0.278
12 O 0.273 0.995 0.722
13 O 0.497 0.275 0.222
14 O 0.503 0.725 0.778
15 O 0.727 0.005 0.278
16 O 0.727 0.449 0.722
17 O 0.769 0.221 0.990
18 O 0.769 0.779 0.549
19 O 0.947 0.725 0.222